No. 1
Computed PXRD pattern of GaPbAu for a wavelength of 1.5418 Å, from a DFT-relaxed cell (PBE, Alexandria).
Kinematic intensities with the Lorentz-polarization factor, no thermal factor.

Cell and atoms:
a b c (Å): 3.6722 4.4859 9.7580
angles (deg): 98.91 92.39 112.47
Fractional positions:
Ga 0.1571 0.3182 0.0929
Ga 0.8429 0.6818 0.9071
Pb 0.3706 0.7597 0.6322
Pb 0.6294 0.2403 0.3678
Au 0.1271 0.2425 0.8128
Au 0.8729 0.7575 0.1872

Peak list (10 most intense, 2θ = 5–70°, low angle first)
d_spacing, 2theta, I/Imax
3.433, 26.0, 79
3.095, 28.8, 97
3.077, 29.0, 100
2.854, 31.3, 37
2.775, 32.3, 37
2.255, 40.0, 50
2.236, 40.3, 55
2.166, 41.7, 51
2.037, 44.5, 43
1.834, 49.7, 35

No. 2
Computed PXRD pattern of GaPbAu for a wavelength of 1.5418 Å, from a DFT-relaxed cell (PBE, Alexandria).
Kinematic intensities with the Lorentz-polarization factor, no thermal factor.

Cell and atoms:
a b c (Å): 4.2547 4.2547 7.5713
angles (deg): 90.00 90.00 93.92
Fractional positions:
Ga 0.2500 0.2500 0.0000
Ga 0.7500 0.7500 0.0000
Pb 0.2500 0.7500 0.6321
Pb 0.7500 0.2500 0.3679
Au 0.2500 0.7500 0.2224
Au 0.7500 0.2500 0.7776

Peak list (10 most intense, 2θ = 5–70°, low angle first)
d_spacing, 2theta, I/Imax
3.110, 28.7, 47
2.904, 30.8, 40
2.876, 31.1, 23
2.825, 31.7, 100
2.403, 37.4, 34
2.304, 39.1, 30
2.169, 41.6, 58
2.122, 42.6, 70
1.735, 52.8, 25
1.661, 55.3, 21

No. 3
Computed PXRD pattern of Ga3PbAu10 for a wavelength of 1.5418 Å, from a DFT-relaxed cell (PBE, Alexandria).
Kinematic intensities with the Lorentz-polarization factor, no thermal factor.

Cell and atoms:
a b c (Å): 8.0897 8.1768 10.0631
angles (deg): 72.42 73.73 65.20
Fractional positions:
Ga 0.1632 0.2648 0.2792
Ga 0.2495 0.7483 0.2314
Ga 0.2708 0.2617 0.6865
Ga 0.7292 0.7383 0.3135
Ga 0.7505 0.2517 0.7686
Ga 0.8368 0.7352 0.7208
Pb 0.2502 0.7193 0.7520
Pb 0.7498 0.2807 0.2480
Au 0.0102 0.4356 0.8821
Au 0.0382 0.1935 0.5543
Au 0.0654 0.0747 0.8561
Au 0.2011 0.0910 0.0849
Au 0.2952 0.8959 0.4167
Au 0.3149 0.5339 0.4911
Au 0.3818 0.4566 0.1322
Au 0.4080 0.3049 0.8941
Au 0.4128 0.1889 0.4306
Au 0.4633 0.9438 0.8386
Au 0.5367 0.0562 0.1614
Au 0.5872 0.8111 0.5694
Au 0.5920 0.6951 0.1059
Au 0.6182 0.5434 0.8678
Au 0.6851 0.4661 0.5089
Au 0.7048 0.1041 0.5833
Au 0.7989 0.9090 0.9151
Au 0.9346 0.9253 0.1439
Au 0.9618 0.8065 0.4457
Au 0.9898 0.5644 0.1179

Peak list (10 most intense, 2θ = 5–70°, low angle first)
d_spacing, 2theta, I/Imax
3.176, 28.1, 41
3.147, 28.4, 72
2.620, 34.2, 87
2.586, 34.7, 82
2.380, 37.8, 42
2.336, 38.5, 79
2.323, 38.8, 100
2.311, 39.0, 40
2.159, 41.8, 51
2.003, 45.3, 55

No. 4
Computed PXRD pattern of GaPb2Au5 for a wavelength of 1.5418 Å, from a DFT-relaxed cell (PBE, Alexandria).
Kinematic intensities with the Lorentz-polarization factor, no thermal factor.

Cell and atoms:
a b c (Å): 5.7468 5.7903 6.8598
angles (deg): 92.95 112.14 119.09
Fractional positions:
Ga 0.0000 0.0000 0.0000
Pb 0.4540 0.7108 0.1646
Pb 0.6254 0.2682 0.8965
Au 0.0381 0.6895 0.7262
Au 0.0576 0.7835 0.3307
Au 0.4680 0.6473 0.6276
Au 0.5470 0.2737 0.3334
Au 0.9777 0.1597 0.6287

Peak list (10 most intense, 2θ = 5–70°, low angle first)
d_spacing, 2theta, I/Imax
2.996, 29.8, 49
2.865, 31.2, 100
2.639, 34.0, 52
2.631, 34.1, 51
2.430, 37.0, 88
2.421, 37.1, 69
2.400, 37.5, 67
2.363, 38.1, 79
2.236, 40.3, 65
2.229, 40.5, 65